[1]
# TiIn2Bi2
Calculated XRD peak list, a wavelength of 1.5418 Å. Input: a PBE-relaxed structure.
Peak positions follow from Bragg's law for the DFT cell and can differ from measured ones.

Peak list (10 most intense, 15° ≤ 2θ ≤ 90°, low angle first)
16.61°, I = 10.2, hkl 1 1 0
17.74°, I = 10.5, hkl 0 0 1
31.99°, I = 100.0, hkl 2 1 1
35.92°, I = 18.1, hkl 0 0 2
37.68°, I = 20.6, hkl 3 1 0
53.04°, I = 15.3, hkl 3 1 2
53.29°, I = 14.9, hkl 4 1 1
62.11°, I = 15.1, hkl 2 1 3
64.26°, I = 9.4, hkl 3 3 2
69.67°, I = 14.6, hkl 5 2 1

Crystal structure
```
data_TiIn2Bi2
_chemical_formula_sum 'Ti2 In4 Bi4'
_cell_length_a 7.5484
_cell_length_b 7.5484
_cell_length_c 4.9999
_cell_angle_alpha 90.00
_cell_angle_beta 90.00
_cell_angle_gamma 90.00
_space_group_name_H-M_alt 'P 4/m b m'
_space_group_IT_number 127
_space_group_name_Hall '-P 4 2ab'
loop_
_atom_site_label
_atom_site_fract_x
_atom_site_fract_y
_atom_site_fract_z
Ti1 0.0000 0.0000 0.0000
In1 0.1621 0.3379 0.5000
Bi1 0.1547 0.6547 0.0000
```

---

[2]
# Na2Hf2USe6
Calculated XRD peak list, a wavelength of 1.5418 Å. Input: a PBE-relaxed structure.
Peak positions follow from Bragg's law for the DFT cell and can differ from measured ones.

Peak list (10 most intense, 15° ≤ 2θ ≤ 90°, low angle first)
26.65°, I = 30.4, hkl 1 3 0
26.84°, I = 16.4, hkl 2 0 -1
31.14°, I = 100.0, hkl 1 3 1
31.38°, I = 49.4, hkl 2 0 -2
33.66°, I = 16.3, hkl 1 3 -2
39.43°, I = 23.2, hkl 1 3 2
42.83°, I = 59.6, hkl 1 3 -3
46.38°, I = 16.6, hkl 0 6 0
46.67°, I = 32.5, hkl 3 3 -1
57.07°, I = 17.5, hkl 2 6 -2

Crystal structure
```
data_Na2Hf2USe6
_chemical_formula_sum 'Na4 Hf4 U2 Se12'
_cell_length_a 6.7284
_cell_length_b 11.7456
_cell_length_c 7.5440
_cell_angle_alpha 90.00
_cell_angle_beta 107.01
_cell_angle_gamma 90.00
_space_group_name_H-M_alt 'C 1 2/m 1'
_space_group_IT_number 12
_space_group_name_Hall '-C 2y'
loop_
_atom_site_label
_atom_site_fract_x
_atom_site_fract_y
_atom_site_fract_z
Na1 0.0000 0.1617 0.0000
Hf1 0.0000 0.3331 0.5000
U1 0.0000 0.0000 0.5000
Se1 0.2198 0.5000 0.7232
Se2 0.2477 0.1749 0.7230
```

---

[3]
# NdY3Sc7
Calculated XRD peak list, a wavelength of 1.5418 Å. Input: a PBE-relaxed structure.
Peak positions follow from Bragg's law for the DFT cell and can differ from measured ones.

Peak list (10 most intense, 15° ≤ 2θ ≤ 90°, low angle first)
16.37°, I = 29.8, hkl 2 0 0
24.89°, I = 89.5, hkl 2 2 -1
26.72°, I = 23.1, hkl 1 3 0
32.76°, I = 65.5, hkl 2 0 -2
33.08°, I = 48.4, hkl 4 0 0
34.09°, I = 24.3, hkl 0 4 0
34.30°, I = 100.0, hkl 2 2 1
34.61°, I = 51.0, hkl 3 3 -1
48.01°, I = 17.8, hkl 2 4 -2
65.11°, I = 19.6, hkl 6 2 1

Crystal structure
```
data_NdY3Sc7
_chemical_formula_sum 'Nd2 Y6 Sc14'
_cell_length_a 12.1221
_cell_length_b 10.5191
_cell_length_c 5.4670
_cell_angle_alpha 90.00
_cell_angle_beta 116.68
_cell_angle_gamma 90.00
_space_group_name_H-M_alt 'C 1 2/m 1'
_space_group_IT_number 12
_space_group_name_Hall '-C 2y'
loop_
_atom_site_label
_atom_site_fract_x
_atom_site_fract_y
_atom_site_fract_z
Nd1 0.0000 0.0000 0.0000
Y1 0.0000 0.2913 0.5000
Y2 0.0000 0.5000 0.0000
Sc1 0.0000 0.0000 0.5000
Sc2 0.2093 0.5000 0.7085
Sc3 0.2192 0.3107 0.2191
```

---

Please write out number 3 again, unchanged.
# NdY3Sc7
Calculated XRD peak list, a wavelength of 1.5418 Å. Input: a PBE-relaxed structure.
Peak positions follow from Bragg's law for the DFT cell and can differ from measured ones.

Peak list (10 most intense, 15° ≤ 2θ ≤ 90°, low angle first)
16.37°, I = 29.8, hkl 2 0 0
24.89°, I = 89.5, hkl 2 2 -1
26.72°, I = 23.1, hkl 1 3 0
32.76°, I = 65.5, hkl 2 0 -2
33.08°, I = 48.4, hkl 4 0 0
34.09°, I = 24.3, hkl 0 4 0
34.30°, I = 100.0, hkl 2 2 1
34.61°, I = 51.0, hkl 3 3 -1
48.01°, I = 17.8, hkl 2 4 -2
65.11°, I = 19.6, hkl 6 2 1

Crystal structure
```
data_NdY3Sc7
_chemical_formula_sum 'Nd2 Y6 Sc14'
_cell_length_a 12.1221
_cell_length_b 10.5191
_cell_length_c 5.4670
_cell_angle_alpha 90.00
_cell_angle_beta 116.68
_cell_angle_gamma 90.00
_space_group_name_H-M_alt 'C 1 2/m 1'
_space_group_IT_number 12
_space_group_name_Hall '-C 2y'
loop_
_atom_site_label
_atom_site_fract_x
_atom_site_fract_y
_atom_site_fract_z
Nd1 0.0000 0.0000 0.0000
Y1 0.0000 0.2913 0.5000
Y2 0.0000 0.5000 0.0000
Sc1 0.0000 0.0000 0.5000
Sc2 0.2093 0.5000 0.7085
Sc3 0.2192 0.3107 0.2191
```